(1)
Starting from a crystal structure in Alexandria, relaxed with PBE, the X-ray diffraction stick pattern of Al2P3H11O13 was simulated for Cu Kα (weighted mean of Kα1 and Kα2).
Neutral-atom scattering factors, no anomalous dispersion.

Peak list (10 most intense, 10° ≤ 2θ ≤ 90°, in order of rising 2θ)
- 2θ 11.3, I = 32, (0 0 1)
- 2θ 13.6, I = 100, (1 0 -1)
- 2θ 14.4, I = 91, (0 1 1)
- 2θ 15.3, I = 35, (1 1 0)
- 2θ 16.2, I = 38, (1 1 -1)
- 2θ 19.6, I = 71, (1 0 1)
- 2θ 22.5, I = 59, (1 2 -1)
- 2θ 29.7, I = 24, (1 0 2)
- 2θ 31.0, I = 50, (1 1 2)
- 2θ 32.8, I = 48, (2 2 -2)

Crystal structure
a = 7.600 Å, b = 9.912 Å, c = 8.371 Å
α = 90.00°, β = 110.60°, γ = 90.00°
Space group P2_1 (No. 4)
Inequivalent atoms, fractional coordinates:
Al (0.066, 0.000, 0.028) x2
Al (0.413, 0.776, 0.626) x2
P (0.208, 0.722, 0.901) x2
P (0.260, 0.278, 0.007) x2
P (0.456, 0.969, 0.342) x2
H (0.048, 0.737, 0.453) x2
H (0.098, 0.160, 0.370) x2
H (0.145, 0.823, 0.340) x2
H (0.152, 0.602, 0.281) x2
H (0.239, 0.464, 0.229) x2
H (0.254, 0.946, 0.759) x2
H (0.257, 0.033, 0.596) x2
H (0.258, 0.242, 0.506) x2
H (0.336, 0.679, 0.059) x2
H (0.386, 0.307, 0.922) x2
H (0.447, 0.446, 0.771) x2
O (0.030, 0.636, 0.860) x2
O (0.089, 0.369, 0.927) x2
O (0.139, 0.533, 0.191) x2
O (0.149, 0.183, 0.494) x2
O (0.165, 0.748, 0.424) x2
O (0.172, 0.874, 0.913) x2
O (0.216, 0.128, 0.974) x2
O (0.244, 0.956, 0.243) x2
O (0.300, 0.698, 0.767) x2
O (0.309, 0.951, 0.667) x2
O (0.359, 0.316, 0.196) x2
O (0.484, 0.355, 0.525) x2
O (0.486, 0.607, 0.576) x2


(2)
Starting from a crystal structure in Alexandria, relaxed with PBE, the X-ray diffraction stick pattern of AlP3H6O12 was simulated for Cu Kα (weighted mean of Kα1 and Kα2).
Neutral-atom scattering factors, no anomalous dispersion.

Peak list (10 most intense, 10° ≤ 2θ ≤ 90°, in order of rising 2θ)
- 2θ 11.0, I = 100, (1 0 0)
- 2θ 17.9, I = 35, (1 0 -2)
- 2θ 19.4, I = 24, (1 0 2)
- 2θ 22.7, I = 20, (1 1 1)
- 2θ 25.3, I = 18, (1 1 -2)
- 2θ 26.5, I = 54, (1 1 2)
- 2θ 28.5, I = 29, (2 1 0)
- 2θ 29.0, I = 16, (0 1 3)
- 2θ 31.4, I = 32, (1 0 -4)
- 2θ 35.5, I = 13, (3 0 -2)

Crystal structure
a = 8.095 Å, b = 4.972 Å, c = 11.820 Å
α = 90.00°, β = 95.05°, γ = 90.00°
Space group P2/c (No. 13)
Inequivalent atoms, fractional coordinates:
Al (0.000, 0.000, 0.000) x2
P (0.000, 0.233, 0.250) x2
P (0.217, 0.497, 0.095) x4
H (0.319, 0.111, 0.895) x4
H (0.477, 0.059, 0.370) x4
H (0.477, 0.362, 0.628) x4
O (0.068, 0.077, 0.353) x4
O (0.144, 0.430, 0.216) x4
O (0.149, 0.292, 0.008) x4
O (0.178, 0.213, 0.567) x4
O (0.408, 0.458, 0.120) x4
O (0.423, 0.116, 0.859) x4